For La8PmEr6, a DFT-relaxed cell (GGA-PBE, Alexandria) gives the calculated powder diffraction line list in this record (λ = 1.5418 Å (Cu Kα)).
Neutral-atom scattering factors, no anomalous dispersion.

Largest 12 diffraction maxima, in order of rising 2θ, 10° ≤ 2θ ≤ 90°:
2theta, Rel. int., h k l
25.46, 48, 2 0 1
30.30, 100, 3 -1 1
33.16, 23, 0 3 1
34.01, 49, 1 3 0
36.02, 18, 1 0 2
37.09, 21, 2 2 1
38.51, 27, 2 -1 2
45.13, 15, 5 -3 1
55.11, 17, 3 2 2
56.80, 16, 5 1 1
60.45, 13, 0 5 2
63.02, 13, 6 -2 2

Structural model:
```
La8PmEr6
1.0
10.976 0.000 0.000
-5.488 9.506 0.000
0.000 0.000 5.168
La Pm Er
8 1 6
direct
0.037 0.295 0.116
0.258 0.963 0.116
0.295 0.258 0.884
0.333 0.667 0.861
0.667 0.333 0.139
0.705 0.742 0.116
0.742 0.037 0.884
0.963 0.705 0.884
0.000 0.000 0.500
0.127 0.630 0.352
0.370 0.498 0.352
0.498 0.127 0.648
0.502 0.873 0.352
0.630 0.502 0.648
0.873 0.370 0.648
```